The following is a computed powder diffraction line list of PrBO4. It was derived from a structure optimized by DFT (GGA-PBE), using λ = 1.5418 Å (Cu Kα).
Peak positions follow from Bragg's law for the DFT cell and can differ from measured ones.

Atomic structure:
Unit cell a=3.8629 b=13.3605 c=5.3691 alpha=90.00 beta=90.00 gamma=90.00
Space group Cmc2_1 (No. 36)
Unique sites:
Pr: 0.0000 0.1402 0.0000 x4
B: 0.0000 0.3742 0.0176 x4
O: 0.0000 0.0360 0.5884 x4
O: 0.0000 0.3159 0.2301 x4
O: 0.0000 0.3321 0.7864 x4
O: 0.0000 0.4803 0.0523 x4

The 12 most intense peaks (5° ≤ 2θ ≤ 70°), in order of falling intensity:
(1 1 1), 2θ 29.3, rel. 100
(0 2 1), 2θ 21.2, rel. 99
(1 5 1), 2θ 44.6, rel. 48
(1 3 2), 2θ 45.9, rel. 47
(0 4 0), 2θ 26.7, rel. 34
(1 1 0), 2θ 24.0, rel. 26
(0 0 2), 2θ 33.4, rel. 25
(1 3 0), 2θ 30.6, rel. 24
(1 1 2), 2θ 41.5, rel. 23
(0 6 1), 2θ 44.0, rel. 22
(1 3 1), 2θ 35.0, rel. 21
(2 0 0), 2θ 47.0, rel. 21



The following is a computed powder diffraction line list of NaIn2Te2. It was derived from a structure optimized by DFT (GGA-PBE), using λ = 1.5418 Å (Cu Kα).
Peak positions follow from Bragg's law for the DFT cell and can differ from measured ones.

Atomic structure:
Unit cell a=5.8425 b=5.8425 c=9.6147 alpha=90.00 beta=90.00 gamma=90.00
Space group I4/mmm (No. 139)
Unique sites:
Na: 0.0000 0.0000 0.0000 x2
In: 0.0000 0.0000 0.3486 x4
Te: 0.0000 0.5000 0.2500 x4

The 12 most intense peaks (5° ≤ 2θ ≤ 70°), in order of falling intensity:
(2 0 0), 2θ 30.6, rel. 100
(0 0 2), 2θ 18.5, rel. 61
(1 1 4), 2θ 43.6, rel. 49
(2 0 2), 2θ 36.0, rel. 45
(1 0 3), 2θ 31.8, rel. 44
(2 2 0), 2θ 43.8, rel. 37
(1 0 1), 2θ 17.8, rel. 36
(1 1 2), 2θ 28.5, rel. 36
(2 1 3), 2θ 44.8, rel. 33
(3 1 4), 2θ 63.5, rel. 31
(1 1 6), 2θ 62.1, rel. 22
(2 2 2), 2θ 47.9, rel. 20



The following is a computed powder diffraction line list of Al3Ag5. It was derived from a structure optimized by DFT (GGA-PBE), using λ = 1.5418 Å (Cu Kα).
Peak positions follow from Bragg's law for the DFT cell and can differ from measured ones.

Atomic structure:
Unit cell a=2.9623 b=2.9623 c=54.3999 alpha=90.00 beta=90.00 gamma=120.00
Space group R3m (No. 160, hexagonal axes)
Unique sites:
Al: 0.0000 0.0000 0.0000 x3
Al: 0.0000 0.0000 0.1243 x3
Al: 0.0000 0.0000 0.4989 x3
Ag: 0.0000 0.0000 0.2491 x3
Ag: 0.0000 0.0000 0.3735 x3
Ag: 0.0000 0.0000 0.6266 x3
Ag: 0.0000 0.0000 0.7512 x3
Ag: 0.0000 0.0000 0.8719 x3

The 12 most intense peaks (5° ≤ 2θ ≤ 70°), in order of falling intensity:
(0 1 8), 2θ 37.5, rel. 100
(1 0 16), 2θ 44.2, rel. 60
(0 0 6), 2θ 9.8, rel. 50
(0 0 24), 2θ 39.8, rel. 27
(1 1 0), 2θ 62.7, rel. 21
(0 1 32), 2θ 65.9, rel. 16
(1 0 10), 2θ 38.8, rel. 12
(0 1 2), 2θ 35.1, rel. 12
(0 0 18), 2θ 29.6, rel. 11
(0 0 9), 2θ 14.7, rel. 6
(0 1 26), 2θ 56.8, rel. 6
(1 0 34), 2θ 69.2, rel. 4



The following is a computed powder diffraction line list of Tl2Bi2O5. It was derived from a structure optimized by DFT (GGA-PBE), using λ = 1.5418 Å (Cu Kα).
Peak positions follow from Bragg's law for the DFT cell and can differ from measured ones.

Atomic structure:
Unit cell a=15.6282 b=3.5845 c=6.1446 alpha=90.00 beta=93.43 gamma=90.00
Space group C2/m (No. 12)
Unique sites:
Tl: 0.1795 0.0000 0.2971 x4
Bi: 0.0616 0.5000 0.7513 x4
O: 0.0000 0.0000 0.5000 x2
O: 0.1175 0.0000 0.9444 x4
O: 0.1715 0.5000 0.5530 x4

The 12 most intense peaks (5° ≤ 2θ ≤ 70°), in order of falling intensity:
(4 0 -1), 2θ 26.3, rel. 100
(4 0 1), 2θ 27.8, rel. 81
(1 1 1), 2θ 29.6, rel. 68
(3 1 0), 2θ 30.3, rel. 61
(0 0 2), 2θ 29.1, rel. 56
(1 1 -1), 2θ 29.2, rel. 55
(3 1 -2), 2θ 41.7, rel. 37
(1 1 2), 2θ 39.4, rel. 27
(5 1 0), 2θ 38.2, rel. 23
(4 2 -1), 2θ 58.3, rel. 23
(8 0 0), 2θ 46.6, rel. 23
(4 2 1), 2θ 59.1, rel. 21